Computed powder diffractogram of Mn3OF5 for Cu Kα, 1.54184 Å, from a DFT-relaxed cell (GGA+U, Alexandria).
Peak positions follow from Bragg's law for the DFT cell and can differ from measured ones.

The 6 most intense peaks (10 to 80 degrees two-theta), sorted by position:
d [Å]	I_rel	index
3.532	100	0 2 0
3.386	92	2 0 -2
2.709	98	1 1 2
1.836	68	1 3 2
1.797	28	5 1 -2
1.791	29	1 1 -4

```
data_Mn3OF5
_space_group_name_H-M_alt 'C 1 m 1'
_space_group_IT_number 8
_space_group_name_Hall 'C -2y'
_cell_length_a 9.4086
_cell_length_b 7.0635
_cell_length_c 7.5026
_cell_angle_alpha 90.00
_cell_angle_beta 110.53
_cell_angle_gamma 90.00
loop_
_atom_site_label
_atom_site_type_symbol
_atom_site_fract_x
_atom_site_fract_y
_atom_site_fract_z
Mn1 Mn 0.0000 0.0000 0.0000
Mn2 Mn 0.0020 0.0000 0.5190
Mn3 Mn 0.1693 0.5000 0.1890
Mn4 Mn 0.1833 0.5000 0.6636
Mn5 Mn 0.3430 0.0000 0.8412
Mn6 Mn 0.3546 0.0000 0.3408
O1 O 0.0855 0.5000 0.3918
O2 O 0.3942 0.5000 0.7082
F1 F 0.0059 0.3035 0.0215
F2 F 0.1124 0.0000 0.3118
F3 F 0.1725 0.1924 0.6801
F4 F 0.2355 0.0000 0.0443
F5 F 0.2565 0.5000 0.9644
F6 F 0.3427 0.3040 0.3330
F7 F 0.4619 0.0000 0.6499
```